1.
This entry pairs a crystal structure of Cu2GePb with its calculated XRD peak list. Radiation: copper Kα. Structure: the GGA-PBE geometry in OQMD.
Peak positions follow from Bragg's law for the DFT cell and can differ from measured ones.

Principal peaks in the range 2θ from 5° to 70°, in order of falling intensity:
d_spacing, I_rel
2.346, 100.0
1.354, 27.9
2.967, 20.7
3.317, 19.1
1.659, 15.0
1.483, 13.2

Crystal structure
```
Cu2GePb
1.0
6.634 0.000 0.000
0.000 6.634 0.000
0.000 0.000 6.634
Cu Ge Pb
8 4 4
direct
0.215 0.215 0.215 Cu
0.215 0.215 0.785 Cu
0.215 0.785 0.215 Cu
0.215 0.785 0.785 Cu
0.785 0.215 0.215 Cu
0.785 0.215 0.785 Cu
0.785 0.785 0.215 Cu
0.785 0.785 0.785 Cu
0.000 0.000 0.000 Ge
0.000 0.000 0.500 Ge
0.000 0.500 0.000 Ge
0.500 0.000 0.000 Ge
0.000 0.500 0.500 Pb
0.500 0.000 0.500 Pb
0.500 0.500 0.000 Pb
0.500 0.500 0.500 Pb
```


2.
This entry pairs a crystal structure of Cu2GePbS4 with its calculated XRD peak list. Radiation: copper Kα. Structure: the GGA-PBE geometry in OQMD.
Peak positions follow from Bragg's law for the DFT cell and can differ from measured ones.

Principal peaks in the range 2θ from 5° to 70°, in order of falling intensity:
d_spacing, I_rel
2.980, 100.0
3.725, 91.6
2.454, 72.8
2.554, 53.3
2.852, 52.2
3.435, 51.4

Crystal structure
```
Cu2GePbS4
1.0
9.910 0.000 0.000
0.000 4.962 3.435
0.000 -4.962 3.435
Cu Ge Pb S
4 2 2 8
direct
0.088 0.138 0.862 Cu
0.412 0.138 0.862 Cu
0.588 0.862 0.138 Cu
0.912 0.862 0.138 Cu
0.250 0.885 0.271 Ge
0.750 0.271 0.885 Ge
0.000 0.545 0.545 Pb
0.500 0.545 0.545 Pb
0.056 0.053 0.448 S
0.250 0.516 0.265 S
0.250 0.891 0.898 S
0.444 0.053 0.448 S
0.556 0.448 0.053 S
0.750 0.265 0.516 S
0.750 0.898 0.891 S
0.944 0.448 0.053 S
```


3.
This entry pairs a crystal structure of Cu2Ge2PdPt with its calculated XRD peak list. Radiation: copper Kα. Structure: the GGA-PBE geometry in OQMD.
Peak positions follow from Bragg's law for the DFT cell and can differ from measured ones.

Principal peaks in the range 2θ from 5° to 70°, in order of falling intensity:
d_spacing, I_rel
2.037, 100.0
2.445, 76.0
1.872, 61.2
2.647, 47.9
1.405, 36.2
2.126, 35.3

Crystal structure
```
Cu2Ge2PdPt
1.0
3.744 0.000 0.000
0.000 3.744 0.000
0.000 0.000 6.378
Cu Ge Pd Pt
2 2 1 1
direct
0.000 0.500 0.000 Cu
0.500 0.000 0.000 Cu
0.000 0.000 0.286 Ge
0.500 0.500 0.720 Ge
0.000 0.000 0.684 Pd
0.500 0.500 0.327 Pt
```


4.
This entry pairs a crystal structure of Pr3Cu2Ge4Pt2 with its calculated XRD peak list. Radiation: copper Kα. Structure: the GGA-PBE geometry in OQMD.
Peak positions follow from Bragg's law for the DFT cell and can differ from measured ones.

Principal peaks in the range 2θ from 5° to 70°, in order of falling intensity:
d_spacing, I_rel
2.706, 100.0
12.387, 67.3
2.723, 30.3
2.132, 24.9
2.122, 24.5
2.431, 20.7

Crystal structure
```
Pr3Cu2Ge4Pt2
1.0
-2.122 2.132 12.387
2.122 -2.132 12.387
2.122 2.132 -12.387
Pr Cu Ge Pt
3 2 4 2
direct
0.000 0.000 0.000 Pr
0.148 0.648 0.500 Pr
0.852 0.352 0.500 Pr
0.405 0.905 0.500 Cu
0.595 0.095 0.500 Cu
0.308 0.808 0.500 Ge
0.449 0.449 0.000 Ge
0.551 0.551 0.000 Ge
0.692 0.192 0.500 Ge
0.249 0.249 0.000 Pt
0.751 0.751 0.000 Pt
```


5.
This entry pairs a crystal structure of PrY2Cu4Ge4 with its calculated XRD peak list. Radiation: copper Kα. Structure: the GGA-PBE geometry in OQMD.
Peak positions follow from Bragg's law for the DFT cell and can differ from measured ones.

Principal peaks in the range 2θ from 5° to 70°, in order of falling intensity:
d_spacing, I_rel
2.593, 100.0
2.508, 82.4
2.109, 35.0
2.031, 26.8
1.925, 22.4
2.344, 20.1

Crystal structure
```
PrY2Cu4Ge4
1.0
-2.109 3.379 7.034
2.109 -3.379 7.034
2.109 3.379 -7.034
Pr Y Cu Ge
1 2 4 4
direct
0.000 0.000 0.000 Pr
0.370 0.870 0.500 Y
0.630 0.130 0.500 Y
0.020 0.332 0.689 Cu
0.357 0.668 0.689 Cu
0.643 0.332 0.311 Cu
0.980 0.668 0.311 Cu
0.219 0.219 0.000 Ge
0.313 0.500 0.813 Ge
0.687 0.500 0.187 Ge
0.781 0.781 0.000 Ge
```


6.
This entry pairs a crystal structure of RbCuGeTe2S with its calculated XRD peak list. Radiation: copper Kα. Structure: the GGA-PBE geometry in OQMD.
Peak positions follow from Bragg's law for the DFT cell and can differ from measured ones.

Principal peaks in the range 2θ from 5° to 70°, in order of falling intensity:
d_spacing, I_rel
2.236, 100.0
3.095, 96.0
3.232, 90.2
2.979, 88.6
2.697, 83.8
3.328, 79.4

Crystal structure
```
RbCuGeTe2S
1.0
1.901 -7.997 0.000
1.901 7.997 0.000
0.000 0.000 10.980
Rb Cu Ge Te S
2 2 2 4 2
direct
0.219 0.781 0.750 Rb
0.781 0.219 0.250 Rb
0.034 0.966 0.250 Cu
0.966 0.034 0.750 Cu
0.500 0.500 0.000 Ge
0.500 0.500 0.500 Ge
0.126 0.874 0.051 Te
0.126 0.874 0.449 Te
0.874 0.126 0.551 Te
0.874 0.126 0.949 Te
0.456 0.544 0.250 S
0.544 0.456 0.750 S
```


7.
This entry pairs a crystal structure of Cu2ReGe with its calculated XRD peak list. Radiation: copper Kα. Structure: the GGA-PBE geometry in OQMD.
Peak positions follow from Bragg's law for the DFT cell and can differ from measured ones.

Principal peaks in the range 2θ from 5° to 70°, in order of falling intensity:
d_spacing, I_rel
2.115, 100.0
3.453, 20.8
1.495, 16.1
1.803, 10.7
2.991, 9.7
1.372, 4.6

Crystal structure
```
Cu2ReGe
1.0
5.981 0.000 0.000
0.000 5.981 0.000
0.000 0.000 5.981
Cu Re Ge
8 4 4
direct
0.000 0.000 0.000 Cu
0.000 0.500 0.500 Cu
0.250 0.250 0.250 Cu
0.250 0.750 0.750 Cu
0.500 0.000 0.500 Cu
0.500 0.500 0.000 Cu
0.750 0.250 0.750 Cu
0.750 0.750 0.250 Cu
0.250 0.250 0.750 Re
0.250 0.750 0.250 Re
0.750 0.250 0.250 Re
0.750 0.750 0.750 Re
0.000 0.000 0.500 Ge
0.000 0.500 0.000 Ge
0.500 0.000 0.000 Ge
0.500 0.500 0.500 Ge
```


8.
This entry pairs a crystal structure of Cu2GeS3 with its calculated XRD peak list. Radiation: copper Kα. Structure: the GGA-PBE geometry in OQMD.
Peak positions follow from Bragg's law for the DFT cell and can differ from measured ones.

Principal peaks in the range 2θ from 5° to 70°, in order of falling intensity:
d_spacing, I_rel
2.884, 100.0
3.257, 86.7
1.745, 67.2
1.881, 66.2
3.100, 51.1
1.608, 40.0

Crystal structure
```
Cu2GeS3
1.0
6.515 0.000 0.000
-3.257 5.642 0.000
0.000 0.000 6.199
Cu Ge S
4 2 6
direct
0.000 0.000 0.000 Cu
0.000 0.329 0.529 Cu
0.329 0.000 0.529 Cu
0.671 0.671 0.529 Cu
0.333 0.667 0.998 Ge
0.667 0.333 0.998 Ge
0.000 0.000 0.635 S
0.000 0.331 0.156 S
0.331 0.000 0.156 S
0.333 0.667 0.636 S
0.667 0.333 0.636 S
0.669 0.669 0.156 S
```


9.
This entry pairs a crystal structure of Cu3GeSe3S with its calculated XRD peak list. Radiation: copper Kα. Structure: the GGA-PBE geometry in OQMD.
Peak positions follow from Bragg's law for the DFT cell and can differ from measured ones.

Principal peaks in the range 2θ from 5° to 70°, in order of falling intensity:
d_spacing, I_rel
3.171, 100.0
3.190, 98.1
1.944, 69.8
1.659, 47.5
1.948, 46.6
1.667, 27.9

Crystal structure
```
Cu3GeSe3S
1.0
7.770 0.000 0.000
0.000 7.839 0.000
-3.869 0.000 5.491
Cu Ge Se S
6 2 6 2
direct
0.000 0.000 0.000 Cu
0.480 0.237 0.479 Cu
0.480 0.763 0.479 Cu
0.500 0.500 0.000 Cu
0.980 0.263 0.479 Cu
0.980 0.737 0.479 Cu
0.481 0.000 0.996 Ge
0.981 0.500 0.996 Ge
0.359 0.253 0.737 Se
0.359 0.747 0.737 Se
0.366 0.500 0.250 Se
0.859 0.247 0.737 Se
0.859 0.753 0.737 Se
0.866 0.000 0.250 Se
0.360 0.000 0.241 S
0.860 0.500 0.241 S
```


10.
This entry pairs a crystal structure of Cu3GeSeS3 with its calculated XRD peak list. Radiation: copper Kα. Structure: the GGA-PBE geometry in OQMD.
Peak positions follow from Bragg's law for the DFT cell and can differ from measured ones.

Principal peaks in the range 2θ from 5° to 70°, in order of falling intensity:
d_spacing, I_rel
3.080, 100.0
3.110, 51.1
3.098, 50.6
1.897, 43.9
1.891, 43.2
1.616, 33.0

Crystal structure
```
Cu3GeSeS3
1.0
7.612 0.000 0.000
0.000 7.525 0.000
-3.784 0.000 5.363
Cu Ge Se S
6 2 2 6
direct
0.000 0.000 0.000 Cu
0.498 0.237 0.478 Cu
0.498 0.763 0.478 Cu
0.500 0.500 0.000 Cu
0.998 0.263 0.478 Cu
0.998 0.737 0.478 Cu
0.013 0.500 0.993 Ge
0.513 0.000 0.993 Ge
0.124 0.000 0.733 Se
0.624 0.500 0.733 Se
0.131 0.252 0.242 S
0.131 0.748 0.242 S
0.132 0.500 0.742 S
0.631 0.248 0.242 S
0.631 0.752 0.242 S
0.632 0.000 0.742 S
```


11.
This entry pairs a crystal structure of SrCu2GeS4 with its calculated XRD peak list. Radiation: copper Kα. Structure: the GGA-PBE geometry in OQMD.
Peak positions follow from Bragg's law for the DFT cell and can differ from measured ones.

Principal peaks in the range 2θ from 5° to 70°, in order of falling intensity:
d_spacing, I_rel
3.109, 100.0
3.084, 99.2
2.366, 48.6
2.654, 40.2
2.190, 38.9
3.688, 38.1

Crystal structure
```
SrCu2GeS4
1.0
6.169 0.000 0.000
-3.084 5.342 0.000
0.000 0.000 15.293
Sr Cu Ge S
3 6 3 12
direct
0.114 0.780 0.000 Sr
0.220 0.334 0.667 Sr
0.666 0.886 0.333 Sr
0.013 0.756 0.756 Cu
0.089 0.678 0.244 Cu
0.244 0.257 0.422 Cu
0.322 0.410 0.911 Cu
0.590 0.911 0.578 Cu
0.743 0.987 0.089 Cu
0.380 0.333 0.167 Ge
0.667 0.048 0.833 Ge
0.952 0.620 0.500 Ge
0.004 0.437 0.835 S
0.139 0.297 0.051 S
0.158 0.861 0.385 S
0.174 0.369 0.282 S
0.194 0.826 0.615 S
0.330 0.100 0.831 S
0.433 0.996 0.169 S
0.563 0.567 0.502 S
0.631 0.806 0.949 S
0.703 0.842 0.718 S
0.770 0.670 0.165 S
0.900 0.230 0.498 S
```


12.
This entry pairs a crystal structure of TlCu3GeS4 with its calculated XRD peak list. Radiation: copper Kα. Structure: the GGA-PBE geometry in OQMD.
Peak positions follow from Bragg's law for the DFT cell and can differ from measured ones.

Principal peaks in the range 2θ from 5° to 70°, in order of falling intensity:
d_spacing, I_rel
4.332, 100.0
3.356, 89.8
3.049, 77.9
2.711, 71.4
3.864, 70.7
2.567, 65.7

Crystal structure
```
TlCu3GeS4
1.0
5.716 0.000 0.000
0.000 7.215 0.000
-2.632 0.000 9.150
Tl Cu Ge S
2 6 2 8
direct
0.174 0.250 0.386 Tl
0.826 0.750 0.614 Tl
0.305 0.562 0.031 Cu
0.305 0.938 0.031 Cu
0.442 0.750 0.278 Cu
0.558 0.250 0.722 Cu
0.695 0.062 0.969 Cu
0.695 0.438 0.969 Cu
0.117 0.250 0.783 Ge
0.883 0.750 0.217 Ge
0.031 0.250 0.003 S
0.190 0.750 0.418 S
0.350 0.507 0.785 S
0.350 0.993 0.785 S
0.650 0.007 0.215 S
0.650 0.493 0.215 S
0.810 0.250 0.582 S
0.969 0.750 0.997 S
```


13.
This entry pairs a crystal structure of Y3CuGeS7 with its calculated XRD peak list. Radiation: copper Kα. Structure: the GGA-PBE geometry in OQMD.
Peak positions follow from Bragg's law for the DFT cell and can differ from measured ones.

Principal peaks in the range 2θ from 5° to 70°, in order of falling intensity:
d_spacing, I_rel
3.447, 100.0
2.472, 85.5
2.163, 49.1
2.753, 46.3
2.375, 41.5
1.883, 33.5

Crystal structure
```
Y3CuGeS7
1.0
9.887 0.000 0.000
-4.943 8.562 0.000
0.000 0.000 5.814
Y Cu Ge S
6 2 2 14
direct
0.134 0.776 0.000 Y
0.224 0.357 0.000 Y
0.357 0.134 0.500 Y
0.643 0.866 0.000 Y
0.776 0.643 0.500 Y
0.866 0.224 0.500 Y
0.000 0.000 0.443 Cu
0.000 0.000 0.943 Cu
0.333 0.667 0.581 Ge
0.667 0.333 0.081 Ge
0.098 0.520 0.743 S
0.100 0.840 0.462 S
0.160 0.259 0.462 S
0.259 0.100 0.962 S
0.333 0.667 0.201 S
0.422 0.902 0.743 S
0.480 0.578 0.743 S
0.520 0.422 0.243 S
0.578 0.098 0.243 S
0.667 0.333 0.701 S
0.741 0.900 0.462 S
0.840 0.741 0.962 S
0.900 0.160 0.962 S
0.902 0.480 0.243 S
```